# LaTb5Pm2Er
Theoretical powder X-ray diffraction pattern, Cu Kα (weighted mean of Kα1 and Kα2). Input: a structure optimized by DFT (PBE).
Intensities are scaled so that the largest is 100.

a b c (Å): 9.950 9.950 9.950
angles (deg): 127.52 127.52 77.40
Element x y z (fractional)
La  0.250  0.250  0.000
La  0.750  0.750  0.000
Tb  0.000  0.000  0.000
Tb  0.072  0.572  0.917
Tb  0.155  0.072  0.500
Tb  0.345  0.845  0.917
Tb  0.428  0.345  0.500
Tb  0.500  0.500  0.000
Tb  0.572  0.655  0.500
Tb  0.655  0.155  0.083
Tb  0.845  0.928  0.500
Tb  0.928  0.428  0.083
Pm  0.117  0.383  0.500
Pm  0.383  0.883  0.267
Pm  0.617  0.117  0.733
Pm  0.883  0.617  0.500
Er  0.250  0.750  0.500
Er  0.750  0.250  0.500

Peak list (8 most intense, 2θ = 5–70°, in order of falling intensity)
- 2θ = 30.7°, I = 100
- 2θ = 28.7°, I = 51
- 2θ = 28.5°, I = 48
- 2θ = 52.1°, I = 21
- 2θ = 42.8°, I = 21
- 2θ = 37.3°, I = 17
- 2θ = 55.8°, I = 13
- 2θ = 34.2°, I = 13

# ErZrCu10
Theoretical powder X-ray diffraction pattern, Cu Kα (weighted mean of Kα1 and Kα2). Input: a structure optimized by DFT (PBE).
Intensities are scaled so that the largest is 100.

a b c (Å): 4.090 4.965 8.541
angles (deg): 90.00 90.00 90.00
Element x y z (fractional)
Er  0.000  0.000  0.000
Zr  0.000  0.500  0.500
Cu  0.000  0.000  0.337
Cu  0.000  0.000  0.663
Cu  0.000  0.500  0.171
Cu  0.000  0.500  0.829
Cu  0.500  0.000  0.500
Cu  0.500  0.253  0.255
Cu  0.500  0.253  0.745
Cu  0.500  0.500  0.000
Cu  0.500  0.747  0.255
Cu  0.500  0.747  0.745

Peak list (8 most intense, 2θ = 5–70°, in order of falling intensity)
- 2θ = 42.8°, I = 100
- 2θ = 30.2°, I = 58
- 2θ = 42.6°, I = 51
- 2θ = 44.3°, I = 45
- 2θ = 42.1°, I = 33
- 2θ = 36.4°, I = 27
- 2θ = 69.6°, I = 22
- 2θ = 62.8°, I = 19